Starting from the PBE geometry in Alexandria, the powder diffractogram of La6Tm4Th was computed for copper Kα.
Intensities are scaled so that the largest is 100.

Largest 8 diffraction maxima, by intensity, 2θ from 15° to 90°:
| index | 2θ/deg | intensity |
| --- | --- | --- |
| 1 3 0 | 31.20 | 100 |
| 1 1 7 | 29.69 | 65 |
| 2 0 0 | 30.42 | 64 |
| 1 1 8 | 32.56 | 46 |
| 0 2 7 | 29.96 | 46 |
| 2 2 7 | 43.22 | 34 |
| 3 3 0 | 54.54 | 21 |
| 1 3 1 | 31.39 | 20 |

Structure:
```
data_La6Tm4Th
_cell_length_a 5.8772
_cell_length_b 9.8530
_cell_length_c 26.2308
_cell_angle_alpha 90.00
_cell_angle_beta 90.00
_cell_angle_gamma 90.00
_space_group_name_H-M_alt 'C m c m'
_space_group_IT_number 63
_space_group_name_Hall '-C 2c 2'
loop_
_atom_site_label
_atom_site_fract_x
_atom_site_fract_y
_atom_site_fract_z
La1 0.0000 0.0000 0.0000
La2 0.0000 0.0353 0.2500
La3 0.0000 0.3147 0.5962
La4 0.0000 0.3612 0.1807
Tm1 0.0000 0.0253 0.1255
Tm2 0.0000 0.3421 0.0450
Th1 0.0000 0.3058 0.7500
```